# 1
For PrRh7O12, a GGA-PBE-relaxed structure gives the computed powder diffraction line list in this record (a wavelength of 1.5418 Å).

Top 10 peaks for 10° ≤ 2θ ≤ 90°, in order of rising 2θ:
2θ (°)  I (rel.)
16.3  9
33.0  1000
37.0  23
40.7  8
44.2  19
47.4  231
59.0  458
69.3  126
78.9  171
88.2  45

Crystal structure
Lattice parameters (Å, degrees): 6.645 6.645 6.645 109.47 109.47 109.47
Positions (direct):
Pr1 0.000 0.000 0.000
Rh1 0.000 0.000 0.500
Rh2 0.000 0.500 0.000
Rh3 0.000 0.500 0.500
Rh4 0.500 0.000 0.000
Rh5 0.500 0.000 0.500
Rh6 0.500 0.500 0.000
Rh7 0.500 0.500 0.500
O1 0.132 0.829 0.304
O2 0.171 0.304 0.475
O3 0.171 0.696 0.868
O4 0.304 0.132 0.829
O5 0.304 0.475 0.171
O6 0.475 0.171 0.304
O7 0.525 0.829 0.696
O8 0.696 0.525 0.829
O9 0.696 0.868 0.171
O10 0.829 0.304 0.132
O11 0.829 0.696 0.525
O12 0.868 0.171 0.696



# 2
For CuAg2Pb, a GGA-PBE-relaxed structure gives the computed powder diffraction line list in this record (a wavelength of 1.5418 Å).

Top 10 peaks for 10° ≤ 2θ ≤ 90°, in order of rising 2θ:
2θ (°)  I (rel.)
23.0  129
28.4  70
36.7  1000
40.6  375
46.4  127
58.8  123
63.3  196
71.3  275
78.0  108
79.5  102

Crystal structure
Lattice parameters (Å, degrees): 4.442 4.442 7.834 90.00 90.00 90.00
Positions (direct):
Cu1 0.000 0.000 0.000
Cu2 0.500 0.500 0.500
Ag1 0.000 0.000 0.500
Ag2 0.000 0.500 0.250
Ag3 0.500 0.000 0.750
Ag4 0.500 0.500 0.000
Pb1 0.000 0.500 0.750
Pb2 0.500 0.000 0.250



# 3
For Na3CaSi, a GGA-PBE-relaxed structure gives the computed powder diffraction line list in this record (a wavelength of 1.5418 Å).

Top 10 peaks for 10° ≤ 2θ ≤ 90°, in order of rising 2θ:
2θ (°)  I (rel.)
22.4  557
27.6  715
31.9  1000
39.4  221
45.8  684
54.3  282
56.9  226
62.0  108
75.9  261
84.8  189

Crystal structure
Lattice parameters (Å, degrees): 5.604 5.604 5.604 90.00 90.00 90.00
Positions (direct):
Na1 0.000 0.000 0.500
Na2 0.000 0.500 0.000
Na3 0.500 0.000 0.000
Ca1 0.500 0.500 0.500
Si1 0.000 0.000 0.000